Theoretical X-ray diffraction stick pattern
Compound: Li2Fe5O10
Radiation: Cu Kα
Structure: a DFT-relaxed cell (PBE+U, the Materials Project)
Kinematic intensities with the Lorentz-polarization factor, no thermal factor.

Principal peaks in the range 10 to 90 degrees two-theta, in order of rising 2θ:
2θ/deg  I (rel.)
12.38  72
18.22  49
18.36  100
42.22  56
43.04  58
43.81  53

abc: 5.141 5.159 7.858
angles: 71.63 70.97 78.65
Element x y z (fractional)
1 Li 0.009 0.265 0.425
2 Li 0.991 0.735 0.575
3 Fe 0.000 0.500 0.000
4 Fe 0.490 0.812 0.887
5 Fe 0.491 0.614 0.310
6 Fe 0.509 0.386 0.690
7 Fe 0.510 0.188 0.113
8 O 0.254 0.694 0.773
9 O 0.262 0.534 0.136
10 O 0.272 0.411 0.519
11 O 0.281 0.947 0.329
12 O 0.289 0.175 0.930
13 O 0.711 0.825 0.070
14 O 0.719 0.053 0.671
15 O 0.728 0.589 0.481
16 O 0.738 0.466 0.864
17 O 0.746 0.306 0.227